Starting from a cell relaxed with GGA-PBE, the XRD peak list of Ba3Au2 was simulated for copper Kα.
Lines closer than 0.1° are merged.

Largest 8 diffraction maxima, in order of rising 2θ, 15 to 90 degrees two-theta:
| d_spacing | Position (°2θ) | I/Imax | (hkl) |
| --- | --- | --- | --- |
| 3.250 | 27.44 | 12 | 2 0 1 |
| 3.052 | 29.26 | 100 | 2 1 1 |
| 2.808 | 31.87 | 39 | 3 1 0 |
| 2.385 | 37.71 | 17 | 0 0 2 |
| 2.188 | 41.26 | 13 | 3 2 1 |
| 1.818 | 50.19 | 22 | 3 1 2 |
| 1.558 | 59.30 | 17 | 5 2 1 |
| 1.476 | 62.96 | 12 | 2 1 3 |

Atomic structure:
```
Ba3Au2
1.0
8.8784 0.0000 0.0000
0.0000 8.8784 0.0000
0.0000 0.0000 4.7707
Ba Au
6 4
Direct
0.0000 0.0000 0.0000 Ba
0.1610 0.3390 0.5000 Ba
0.3390 0.8390 0.5000 Ba
0.5000 0.5000 0.0000 Ba
0.6610 0.1610 0.5000 Ba
0.8390 0.6610 0.5000 Ba
0.1296 0.6296 0.0000 Au
0.3704 0.1296 0.0000 Au
0.6296 0.8704 0.0000 Au
0.8704 0.3704 0.0000 Au
```